Record 1
# NaPS3
Simulated powder diffractogram, a wavelength of 1.5418 Å. Input: the GGA-PBE geometry in the Materials Project.
No peak broadening, texture or thermal motion is included.

Largest 6 diffraction maxima, in order of rising 2θ, 10 to 90 degrees two-theta:
2θ/deg  Rel. int.  index
14.84  32  0 1 1
17.30  57  1 1 0
26.15  25  1 1 2
29.93  100  0 2 2
30.43  25  2 1 -1
33.10  28  2 0 2

Crystal structure
```
data_NaPS3
_symmetry_space_group_name_H-M 'P 1 21/m 1'
_symmetry_Int_Tables_number 11
_symmetry_space_group_name_Hall '-P 2yb'
_cell_length_a 6.7397
_cell_length_b 7.8905
_cell_length_c 9.1326
_cell_angle_alpha 90.00
_cell_angle_beta 90.22
_cell_angle_gamma 90.00
loop_
_atom_site_label
_atom_site_type_symbol
_atom_site_fract_x
_atom_site_fract_y
_atom_site_fract_z
Na1 Na 0.2131 0.0136 0.2907
P1 P 0.1770 0.7500 0.9234
P2 P 0.2874 0.7500 0.6123
S1 S 0.0498 0.7500 0.4797
S2 S 0.1173 0.2500 0.0489
S3 S 0.2654 0.5515 0.7717
S4 S 0.3550 0.7500 0.0964
S5 S 0.4488 0.2500 0.4864
```


Record 2
# K2BAs2HO8
Simulated powder diffractogram, a wavelength of 1.5418 Å. Input: the GGA-PBE geometry in the Materials Project.
No peak broadening, texture or thermal motion is included.

Largest 6 diffraction maxima, in order of rising 2θ, 10 to 90 degrees two-theta:
2θ/deg  Rel. int.  index
13.31  79  1 0 1
17.09  56  1 1 0
22.60  66  0 0 4
27.77  100  1 2 1
29.72  55  2 0 3
32.18  89  1 2 3

Crystal structure
```
data_K2BAs2HO8
_symmetry_space_group_name_H-M 'P 41'
_symmetry_Int_Tables_number 76
_symmetry_space_group_name_Hall 'P 4w'
_cell_length_a 7.3369
_cell_length_b 7.3369
_cell_length_c 15.7374
_cell_angle_alpha 90.00
_cell_angle_beta 90.00
_cell_angle_gamma 90.00
loop_
_atom_site_label
_atom_site_type_symbol
_atom_site_fract_x
_atom_site_fract_y
_atom_site_fract_z
K1 K 0.0358 0.1195 0.0000
K2 K 0.3834 0.4580 0.8513
B1 B 0.2092 0.2882 0.4256
As1 As 0.0645 0.6055 0.0503
As2 As 0.1113 0.5651 0.3021
H1 H 0.0380 0.5630 0.6853
O1 O 0.0024 0.3881 0.2481
O2 O 0.0296 0.2654 0.4668
O3 O 0.0310 0.2724 0.8352
O4 O 0.0988 0.5117 0.6052
O5 O 0.1353 0.7899 0.1147
O6 O 0.2331 0.4728 0.0132
O7 O 0.2356 0.4715 0.3855
O8 O 0.2894 0.6336 0.2356
```